LiSnP4O12: theoretical PXRD pattern (Cu Kα X-rays), based on a GGA-PBE-relaxed structure.
No peak broadening, texture or thermal motion is included.

Top 6 peaks for 10° ≤ 2θ ≤ 90°, in order of rising 2θ:
2θ 13.6, rel. 89; 2θ 18.5, rel. 64; 2θ 19.2, rel. 33; 2θ 23.8, rel. 58; 2θ 28.2, rel. 100; 2θ 29.0, rel. 34

Crystal structure
Cell lengths 7.631, 7.631, 10.670 Å; angles 114.32, 114.32, 69.26 degrees
Element x y z (fractional)
Li (0.002, 0.998, 0.750)
Li (0.998, 0.002, 0.250)
Sn (0.000, 0.500, 0.500)
Sn (0.500, 0.000, 0.000)
P (0.258, 0.726, 0.023)
P (0.274, 0.742, 0.477)
P (0.306, 0.320, 0.811)
P (0.320, 0.306, 0.311)
P (0.681, 0.694, 0.689)
P (0.694, 0.681, 0.189)
P (0.726, 0.258, 0.523)
P (0.742, 0.274, 0.977)
O (0.102, 0.835, 0.092)
O (0.137, 0.289, 0.328)
O (0.165, 0.898, 0.408)
O (0.196, 0.707, 0.574)
O (0.203, 0.342, 0.663)
O (0.225, 0.504, 0.932)
O (0.289, 0.137, 0.828)
O (0.293, 0.804, 0.926)
O (0.320, 0.533, 0.353)
O (0.342, 0.203, 0.163)
O (0.467, 0.680, 0.147)
O (0.496, 0.775, 0.568)
O (0.504, 0.225, 0.432)
O (0.533, 0.320, 0.853)
O (0.658, 0.797, 0.837)
O (0.680, 0.467, 0.647)
O (0.707, 0.196, 0.074)
O (0.711, 0.863, 0.172)
O (0.775, 0.496, 0.068)
O (0.797, 0.658, 0.337)
O (0.804, 0.293, 0.426)
O (0.835, 0.102, 0.592)
O (0.863, 0.711, 0.672)
O (0.898, 0.165, 0.908)